Computed powder XRD pattern
Compound: Cd3Se3O10
Radiation: CuKα
Structure: a PBE-relaxed structure

Largest 12 diffraction maxima, sorted by position, 2θ from 5° to 70°:
2θ (°)  d [Å]  I_rel
10.9  8.138  11
23.0  3.868  7
23.1  3.851  9
28.3  3.150  100
32.6  2.746  13
32.9  2.726  13
33.0  2.713  6
37.0  2.429  7
47.0  1.935  21
47.3  1.923  9
55.5  1.655  8
55.9  1.644  14

Crystal structure
```
data_Cd3Se3O10
_chemical_formula_sum 'Cd6 Se6 O20'
_cell_length_a 8.577
_cell_length_b 5.452
_cell_length_c 10.985
_cell_angle_alpha 90.00
_cell_angle_beta 108.42
_cell_angle_gamma 90.00
_space_group_name_H-M_alt 'P 1 21 1'
_space_group_IT_number 4
loop_
_space_group_symop_operation_xyz
'x,y,z'
'-x,y+1/2,-z'
loop_
_atom_site_label
_atom_site_type_symbol
_atom_site_fract_x
_atom_site_fract_y
_atom_site_fract_z
Cd1 Cd 0.009 0.000 0.375
Cd2 Cd 0.024 0.990 0.884
Cd3 Cd 0.367 0.015 0.704
Se1 Se 0.252 0.527 0.455
Se2 Se 0.265 0.465 0.925
Se3 Se 0.350 0.004 0.217
O1 O 0.094 0.622 0.322
O2 O 0.114 0.356 0.987
O3 O 0.152 0.677 0.811
O4 O 0.155 0.297 0.519
O5 O 0.222 0.766 0.551
O6 O 0.223 0.154 0.279
O7 O 0.250 0.213 0.827
O8 O 0.251 0.840 0.088
O9 O 0.466 0.812 0.332
O10 O 0.474 0.208 0.177
```

=====

Computed powder XRD pattern
Compound: CdSe2O5
Radiation: CuKα
Structure: a PBE-relaxed structure

Largest 12 diffraction maxima, sorted by position, 2θ from 5° to 70°:
2θ (°)  d [Å]  I_rel
14.3  6.178  16
16.8  5.273  19
25.5  3.489  75
27.0  3.306  100
27.7  3.220  21
29.8  2.996  31
31.1  2.875  25
32.5  2.759  22
33.9  2.648  27
37.7  2.388  16
46.5  1.954  13
62.6  1.484  19

Crystal structure
```
data_CdSe2O5
_chemical_formula_sum 'Cd4 Se8 O20'
_cell_length_a 8.282
_cell_length_b 11.498
_cell_length_c 6.238
_cell_angle_alpha 90.00
_cell_angle_beta 117.81
_cell_angle_gamma 90.00
_space_group_name_H-M_alt 'C 1 2/c 1'
_space_group_IT_number 15
loop_
_space_group_symop_operation_xyz
'x,y,z'
'-x,-y,-z'
'-x,y,-z+1/2'
'x,-y,z+1/2'
'x+1/2,y+1/2,z'
'-x+1/2,-y+1/2,-z'
'-x+1/2,y+1/2,-z+1/2'
'x+1/2,-y+1/2,z+1/2'
loop_
_atom_site_label
_atom_site_type_symbol
_atom_site_fract_x
_atom_site_fract_y
_atom_site_fract_z
Cd1 Cd 0.000 0.087 0.250
Se1 Se 0.154 0.360 0.132
O1 O 0.000 0.418 0.250
O2 O 0.156 0.066 0.670
O3 O 0.200 0.221 0.232
```

=====

Computed powder XRD pattern
Compound: Cd2SiO2
Radiation: CuKα
Structure: a PBE-relaxed structure

Largest 12 diffraction maxima, sorted by position, 2θ from 5° to 70°:
2θ (°)  d [Å]  I_rel
19.6  4.519  21
20.0  4.448  37
20.8  4.266  100
25.6  3.486  48
25.8  3.448  37
26.3  3.385  52
31.5  2.843  67
31.9  2.805  18
34.8  2.575  54
42.4  2.132  42
43.3  2.089  27
43.8  2.068  44

Crystal structure
```
data_Cd2SiO2
_chemical_formula_sum 'Cd32 Si16 O32'
_cell_length_a 10.953
_cell_length_b 11.221
_cell_length_c 15.254
_cell_angle_alpha 90.00
_cell_angle_beta 90.00
_cell_angle_gamma 90.00
_space_group_name_H-M_alt 'F d d d'
_space_group_IT_number 70
loop_
_space_group_symop_operation_xyz
'x,y,z'
'-x,-y,-z'
'-x+1/4,-y+1/4,z'
'x+1/4,y+1/4,-z'
'x,-y+1/4,-z+1/4'
'-x,y+1/4,z+1/4'
'-x+1/4,y,-z+1/4'
'x+1/4,-y,z+1/4'
'x,y+1/2,z+1/2'
'-x,-y+1/2,-z+1/2'
'-x+1/4,-y+3/4,z+1/2'
'x+1/4,y+3/4,-z+1/2'
'x,-y+3/4,-z+3/4'
'-x,y+3/4,z+3/4'
'-x+1/4,y+1/2,-z+3/4'
'x+1/4,-y+1/2,z+3/4'
'x+1/2,y,z+1/2'
'-x+1/2,-y,-z+1/2'
'-x+3/4,-y+1/4,z+1/2'
'x+3/4,y+1/4,-z+1/2'
'x+1/2,-y+1/4,-z+3/4'
'-x+1/2,y+1/4,z+3/4'
'-x+3/4,y,-z+3/4'
'x+3/4,-y,z+3/4'
'x+1/2,y+1/2,z'
'-x+1/2,-y+1/2,-z'
'-x+3/4,-y+3/4,z'
'x+3/4,y+3/4,-z'
'x+1/2,-y+3/4,-z+1/4'
'-x+1/2,y+3/4,z+1/4'
'-x+3/4,y+1/2,-z+1/4'
'x+3/4,-y+1/2,z+1/4'
loop_
_atom_site_label
_atom_site_type_symbol
_atom_site_fract_x
_atom_site_fract_y
_atom_site_fract_z
Cd1 Cd 0.045 0.034 0.312
Si1 Si 0.000 0.000 0.500
O1 O 0.106 0.349 0.754
```